Theoretical powder diffraction line list of Sc4AlCuPd2 for Cu Kα (weighted mean of Kα1 and Kα2), from a PBE-relaxed structure.

Top 10 peaks for 10 to 90 degrees two-theta, low angle first:
two_theta  d_spacing  intensity  hkl
23.1  3.842  15  0 1 2
26.8  3.328  9  1 0 4
38.3  2.353  100  1 1 0
45.2  2.007  7  2 0 2
47.3  1.921  3  0 2 4
52.8  1.733  4  1 1 9
55.2  1.664  16  2 0 8
62.4  1.488  4  2 1 4
69.2  1.358  30  3 0 0
81.9  1.176  9  2 2 0

Cell lengths 4.7058, 4.7058, 23.0554 Å; angles 90.00, 90.00, 120.00 degrees
Space group R-3m (No. 166, hexagonal axes)
One atom of each set of equivalent atoms:
Sc  0.0000  0.0000  0.1204 (multiplicity 6)
Sc  0.0000  0.0000  0.3715 (multiplicity 6)
Al  0.0000  0.0000  0.5000 (multiplicity 3)
Cu  0.0000  0.0000  0.0000 (multiplicity 3)
Pd  0.0000  0.0000  0.2435 (multiplicity 6)